This entry pairs a crystal structure of Dy8ScSb6 with its calculated powder diffractogram. Radiation: Cu Kα (weighted mean of Kα1 and Kα2). Structure: a crystal structure in Alexandria, relaxed with GGA-PBE.
Peak positions follow from Bragg's law for the DFT cell and can differ from measured ones.

Cell lengths 11.1865, 11.1865, 4.3418 Å; angles 90.00, 90.00, 120.00 degrees
Space group P-3 (No. 147)
Inequivalent atoms, fractional coordinates:
Dy 0.0401 0.3188 0.2440 x6
Dy 0.3333 0.6667 0.7562 x2
Sc 0.0000 0.0000 0.5000 x1
Sb 0.1245 0.6446 0.2557 x6

Principal peaks in the range 2θ = 10–80°, most intense first:
| 2θ/deg | I (rel.) | index |
| --- | --- | --- |
| 31.97 | 100.0 | 1 2 1 |
| 27.61 | 94.3 | 3 0 0 |
| 38.28 | 56.7 | 4 -2 1 |
| 33.35 | 45.0 | 1 3 0 |
| 45.86 | 34.4 | 5 -3 1 |
| 25.98 | 27.8 | 1 1 1 |
| 71.56 | 26.4 | 8 -3 1 |
| 41.60 | 24.9 | 0 0 2 |

This entry pairs a crystal structure of DySc5Sb4 with its calculated powder diffractogram. Radiation: Cu Kα (weighted mean of Kα1 and Kα2). Structure: a crystal structure in Alexandria, relaxed with GGA-PBE.
Peak positions follow from Bragg's law for the DFT cell and can differ from measured ones.

Cell lengths 9.702, 9.912, 5.666 Å; angles 90.00, 90.00, 90.00 degrees
Space group Cmmm (No. 65)
Inequivalent atoms, fractional coordinates:
Dy 0.000 0.000 0.000 x2
Sc 0.000 0.500 0.500 x2
Sc 0.250 0.250 0.250 x8
Sb 0.000 0.328 0.000 x4
Sb 0.186 0.000 0.500 x4

Principal peaks in the range 2θ = 10–80°, most intense first:
| 2θ/deg | I (rel.) | index |
| --- | --- | --- |
| 24.15 | 100.0 | 2 0 1 |
| 42.23 | 74.5 | 3 3 1 |
| 28.54 | 48.6 | 1 3 0 |
| 32.71 | 41.2 | 1 3 1 |
| 33.15 | 32.7 | 3 1 1 |
| 43.08 | 31.9 | 1 3 2 |
| 36.54 | 29.8 | 0 2 2 |
| 23.85 | 26.5 | 0 2 1 |

This entry pairs a crystal structure of Dy2ScSb2 with its calculated powder diffractogram. Radiation: Cu Kα (weighted mean of Kα1 and Kα2). Structure: a crystal structure in Alexandria, relaxed with GGA-PBE.
Peak positions follow from Bragg's law for the DFT cell and can differ from measured ones.

Cell lengths 8.057, 11.693, 6.161 Å; angles 90.00, 90.00, 90.00 degrees
Space group Ibam (No. 72)
Inequivalent atoms, fractional coordinates:
Dy 0.148 0.149 0.000 x8
Sc 0.000 0.500 0.250 x4
Sb 0.227 0.108 0.500 x8

Principal peaks in the range 2θ = 10–80°, most intense first:
| 2θ/deg | I (rel.) | index |
| --- | --- | --- |
| 28.99 | 100.0 | 0 0 2 |
| 42.64 | 72.6 | 0 4 2 |
| 27.53 | 70.1 | 2 1 1 |
| 39.73 | 64.4 | 3 2 1 |
| 30.58 | 62.2 | 0 4 0 |
| 25.38 | 61.5 | 1 3 0 |
| 22.07 | 57.4 | 2 0 0 |
| 36.73 | 54.3 | 2 0 2 |

This entry pairs a crystal structure of Dy3ScSb2 with its calculated powder diffractogram. Radiation: Cu Kα (weighted mean of Kα1 and Kα2). Structure: a crystal structure in Alexandria, relaxed with GGA-PBE.
Peak positions follow from Bragg's law for the DFT cell and can differ from measured ones.

Cell lengths 4.408, 4.408, 8.348 Å; angles 90.00, 90.00, 90.00 degrees
Space group P-4m2 (No. 115)
Inequivalent atoms, fractional coordinates:
Dy 0.000 0.000 0.000 x1
Dy 0.000 0.500 0.651 x2
Sc 0.500 0.500 0.000 x1
Sb 0.000 0.500 0.275 x2

Principal peaks in the range 2θ = 10–80°, most intense first:
| 2θ/deg | I (rel.) | index |
| --- | --- | --- |
| 35.96 | 100.0 | 1 1 2 |
| 30.61 | 98.5 | 1 1 1 |
| 40.95 | 71.1 | 2 0 0 |
| 32.17 | 44.9 | 0 0 3 |
| 53.00 | 43.5 | 2 0 3 |
| 28.64 | 40.4 | 1 1 0 |
| 29.47 | 38.7 | 1 0 2 |
| 38.25 | 32.4 | 1 0 3 |

This entry pairs a crystal structure of DySc3Sb with its calculated powder diffractogram. Radiation: Cu Kα (weighted mean of Kα1 and Kα2). Structure: a crystal structure in Alexandria, relaxed with GGA-PBE.
Peak positions follow from Bragg's law for the DFT cell and can differ from measured ones.

Cell lengths 9.972, 3.822, 13.587 Å; angles 90.00, 90.00, 90.00 degrees
Space group Pnma (No. 62)
Inequivalent atoms, fractional coordinates:
Dy 0.158 0.250 0.025 x4
Sc 0.086 0.250 0.421 x4
Sc 0.114 0.750 0.236 x4
Sc 0.133 0.750 0.812 x4
Sb 0.128 0.250 0.636 x4

Principal peaks in the range 2θ = 10–80°, most intense first:
| 2θ/deg | I (rel.) | index |
| --- | --- | --- |
| 31.92 | 100.0 | 1 1 3 |
| 32.32 | 87.2 | 2 1 2 |
| 29.45 | 54.2 | 2 1 0 |
| 37.70 | 51.0 | 2 0 5 |
| 15.78 | 39.5 | 1 0 2 |
| 36.03 | 39.1 | 4 0 0 |
| 47.57 | 30.9 | 0 2 0 |
| 21.55 | 28.9 | 1 0 3 |

This entry pairs a crystal structure of Dy2ScUSb4 with its calculated powder diffractogram. Radiation: Cu Kα (weighted mean of Kα1 and Kα2). Structure: a crystal structure in Alexandria, relaxed with GGA-PBE.
Peak positions follow from Bragg's law for the DFT cell and can differ from measured ones.

Cell lengths 7.491, 4.313, 7.523 Å; angles 90.00, 109.08, 90.00 degrees
Space group P2/m (No. 10)
Inequivalent atoms, fractional coordinates:
Dy 0.000 0.000 0.000 x1
Dy 0.000 0.500 0.500 x1
Sc 0.500 0.000 0.500 x1
U 0.500 0.500 0.000 x1
Sb 0.254 0.000 0.744 x2
Sb 0.261 0.500 0.259 x2

Principal peaks in the range 2θ = 10–80°, most intense first:
| 2θ/deg | I (rel.) | index |
| --- | --- | --- |
| 29.16 | 100.0 | 1 1 1 |
| 41.83 | 37.6 | 0 2 0 |
| 41.66 | 25.3 | 1 1 -3 |
| 51.89 | 13.4 | 2 2 -2 |
| 41.47 | 12.7 | 2 0 2 |
| 68.55 | 11.4 | 4 2 0 |
| 68.74 | 11.4 | 1 3 1 |
| 76.41 | 8.5 | 3 3 -1 |

This entry pairs a crystal structure of DyYSc2Sb4 with its calculated powder diffractogram. Radiation: Cu Kα (weighted mean of Kα1 and Kα2). Structure: a crystal structure in Alexandria, relaxed with GGA-PBE.
Peak positions follow from Bragg's law for the DFT cell and can differ from measured ones.

Cell lengths 7.400, 4.280, 7.413 Å; angles 90.00, 109.50, 90.00 degrees
Space group P2/m (No. 10)
Inequivalent atoms, fractional coordinates:
Dy 0.000 0.000 0.000 x1
Y 0.000 0.500 0.500 x1
Sc 0.500 0.000 0.500 x1
Sc 0.500 0.500 0.000 x1
Sb 0.265 0.000 0.755 x2
Sb 0.265 0.500 0.255 x2

Principal peaks in the range 2θ = 10–80°, most intense first:
| 2θ/deg | I (rel.) | index |
| --- | --- | --- |
| 29.53 | 100.0 | 1 1 1 |
| 42.26 | 73.6 | 0 2 0 |
| 69.49 | 31.6 | 1 3 1 |
| 52.40 | 25.5 | 0 0 4 |
| 77.24 | 17.9 | 2 0 -6 |
| 61.30 | 11.7 | 2 2 2 |
| 24.39 | 8.4 | 1 0 -2 |
| 32.26 | 7.1 | 2 1 -1 |

This entry pairs a crystal structure of Dy2SbSe4 with its calculated powder diffractogram. Radiation: Cu Kα (weighted mean of Kα1 and Kα2). Structure: a crystal structure in Alexandria, relaxed with GGA-PBE.
Peak positions follow from Bragg's law for the DFT cell and can differ from measured ones.

Cell lengths 15.765, 4.024, 7.211 Å; angles 90.00, 114.57, 90.00 degrees
Space group C2/m (No. 12)
Inequivalent atoms, fractional coordinates:
Dy 0.238 0.000 0.246 x4
Sb 0.000 0.500 0.500 x2
Se 0.131 0.500 0.325 x4
Se 0.142 0.000 0.810 x4

Principal peaks in the range 2θ = 10–80°, most intense first:
| 2θ/deg | I (rel.) | index |
| --- | --- | --- |
| 36.19 | 100.0 | 5 1 -1 |
| 28.54 | 72.2 | 3 1 -1 |
| 12.35 | 71.1 | 2 0 0 |
| 43.91 | 58.1 | 3 1 -3 |
| 34.48 | 51.9 | 2 0 2 |
| 35.37 | 44.4 | 3 1 1 |
| 25.35 | 43.4 | 1 1 -1 |
| 27.19 | 32.9 | 0 0 2 |

This entry pairs a crystal structure of Dy8SbSe6 with its calculated powder diffractogram. Radiation: Cu Kα (weighted mean of Kα1 and Kα2). Structure: a crystal structure in Alexandria, relaxed with GGA-PBE.
Peak positions follow from Bragg's law for the DFT cell and can differ from measured ones.

Cell lengths 10.4739, 10.4739, 4.0724 Å; angles 90.00, 90.00, 120.00 degrees
Space group P-3 (No. 147)
Inequivalent atoms, fractional coordinates:
Dy 0.0347 0.7144 0.2553 x6
Dy 0.3333 0.6667 0.7479 x2
Sb 0.0000 0.0000 0.5000 x1
Se 0.1307 0.4819 0.2487 x6

Principal peaks in the range 2θ = 10–80°, most intense first:
| 2θ/deg | I (rel.) | index |
| --- | --- | --- |
| 29.52 | 100.0 | 3 0 0 |
| 34.19 | 60.3 | 3 -2 1 |
| 27.75 | 44.3 | 2 -1 1 |
| 40.98 | 43.7 | 2 2 1 |
| 35.69 | 27.6 | 3 1 0 |
| 49.17 | 27.0 | 2 3 1 |
| 77.26 | 18.9 | 5 3 1 |
| 44.49 | 15.9 | 0 0 2 |

This entry pairs a crystal structure of Dy6Si2SbSe3 with its calculated powder diffractogram. Radiation: Cu Kα (weighted mean of Kα1 and Kα2). Structure: a crystal structure in Alexandria, relaxed with GGA-PBE.
Peak positions follow from Bragg's law for the DFT cell and can differ from measured ones.

Cell lengths 18.127, 4.157, 8.356 Å; angles 90.00, 103.02, 90.00 degrees
Space group C2/m (No. 12)
Inequivalent atoms, fractional coordinates:
Dy 0.006 0.000 0.261 x4
Dy 0.171 0.500 0.101 x4
Dy 0.171 0.500 0.576 x4
Si 0.167 0.000 0.335 x4
Sb 0.000 0.500 0.000 x2
Se 0.000 0.500 0.500 x2
Se 0.164 0.000 0.834 x4

Principal peaks in the range 2θ = 10–80°, most intense first:
| 2θ/deg | I (rel.) | index |
| --- | --- | --- |
| 30.34 | 100.0 | 1 1 -2 |
| 43.54 | 37.2 | 0 2 0 |
| 43.35 | 36.1 | 5 1 2 |
| 26.24 | 21.9 | 3 1 0 |
| 53.99 | 19.4 | 6 2 0 |
| 71.77 | 16.3 | 1 3 -2 |
| 63.12 | 11.6 | 2 2 -4 |
| 71.47 | 10.3 | 4 2 4 |

This entry pairs a crystal structure of Dy4SiSb2 with its calculated powder diffractogram. Radiation: Cu Kα (weighted mean of Kα1 and Kα2). Structure: a crystal structure in Alexandria, relaxed with GGA-PBE.
Peak positions follow from Bragg's law for the DFT cell and can differ from measured ones.

Cell lengths 9.374, 9.395, 9.372 Å; angles 90.00, 90.00, 90.00 degrees
Space group Imma (No. 74)
Inequivalent atoms, fractional coordinates:
Dy 0.000 0.052 0.185 x8
Dy 0.198 0.250 0.565 x8
Si 0.000 0.250 0.874 x4
Sb 0.000 0.000 0.500 x4
Sb 0.250 0.250 0.250 x4

Principal peaks in the range 2θ = 10–80°, most intense first:
| 2θ/deg | I (rel.) | index |
| --- | --- | --- |
| 26.87 | 100.0 | 2 2 0 |
| 30.14 | 79.6 | 1 0 3 |
| 35.82 | 65.5 | 2 1 3 |
| 45.35 | 46.8 | 3 2 3 |
| 38.37 | 32.4 | 0 4 0 |
| 40.81 | 20.7 | 3 0 3 |
| 49.53 | 19.9 | 1 3 4 |
| 49.59 | 18.0 | 3 1 4 |

This entry pairs a crystal structure of Dy6SiSb3 with its calculated powder diffractogram. Radiation: Cu Kα (weighted mean of Kα1 and Kα2). Structure: a crystal structure in Alexandria, relaxed with GGA-PBE.
Peak positions follow from Bragg's law for the DFT cell and can differ from measured ones.

Cell lengths 7.028, 8.198, 12.285 Å; angles 90.00, 124.34, 90.00 degrees
Space group P2_1/c (No. 14)
Inequivalent atoms, fractional coordinates:
Dy 0.058 0.063 0.241 x4
Dy 0.202 0.688 0.060 x4
Dy 0.398 0.167 0.059 x4
Si 0.000 0.000 0.000 x2
Sb 0.309 0.121 0.747 x4
Sb 0.500 0.000 0.500 x2

Principal peaks in the range 2θ = 10–80°, most intense first:
| 2θ/deg | I (rel.) | index |
| --- | --- | --- |
| 29.09 | 100.0 | 2 1 -3 |
| 30.73 | 90.3 | 1 2 1 |
| 30.87 | 88.5 | 1 2 -3 |
| 29.20 | 87.7 | 1 0 2 |
| 27.62 | 87.3 | 2 1 -2 |
| 26.70 | 86.6 | 1 2 -2 |
| 35.24 | 85.4 | 1 3 -1 |
| 31.43 | 65.7 | 1 1 -4 |